Record 1
CePd5Pt: simulated X-ray powder pattern (λ = 1.5418 Å (Cu Kα)), based on DFT lattice parameters and positions (GGA-PBE).
Neutral-atom scattering factors, no anomalous dispersion.

Main lines, in order of rising 2θ (10° ≤ 2θ ≤ 90°):
2θ/deg, d (Å), I/Imax
28.83, 3.097, 34
35.51, 2.528, 24
38.84, 2.319, 48
39.13, 2.302, 78
39.77, 2.267, 57
39.87, 2.261, 100
41.08, 2.197, 44
42.15, 2.144, 36

Crystal structure
```
14
Lattice="5.670 -3.894 0.000 5.670 3.894 0.000 -1.013 0.000 5.489" Properties=species:S:1:pos:R:3 pbc="T T T"
Ce 4.910 2.134 4.117
Ce 5.416 -2.134 1.372
Pd 1.601 0.686 2.948
Pd 5.416 2.706 1.372
Pd 2.108 -0.686 0.204
Pd 4.076 0.314 1.902
Pd 3.569 -0.314 4.647
Pd 6.757 0.314 0.843
Pd 6.250 -0.314 3.587
Pd 8.218 0.686 5.285
Pd 4.910 -2.706 4.117
Pd 8.725 -0.686 2.541
Pt 2.835 1.947 0.000
Pt 2.328 -1.947 2.745
```

=====

Record 2
Pr2Y3Sc: simulated X-ray powder pattern (λ = 1.5418 Å (Cu Kα)), based on DFT lattice parameters and positions (GGA-PBE).
Neutral-atom scattering factors, no anomalous dispersion.

Main lines, in order of rising 2θ (10° ≤ 2θ ≤ 90°):
2θ/deg, d (Å), I/Imax
18.04, 4.916, 12
31.54, 2.837, 100
31.63, 2.828, 53
45.25, 2.004, 29
56.15, 1.638, 34
56.22, 1.636, 10
62.91, 1.477, 16
74.85, 1.269, 13

Crystal structure
```
12
Lattice="4.472 -4.915 0.000 4.472 4.915 0.000 -1.749 0.000 8.786" Properties=species:S:1:pos:R:3 pbc="T T T"
Pr 1.819 2.459 7.688
Pr 4.501 2.459 5.491
Pr 2.693 -2.459 3.295
Pr 5.376 -2.459 1.098
Y 4.035 4.026 2.197
Y 1.431 0.786 4.394
Y 2.305 -0.786 0.001
Y 4.889 0.786 8.786
Y 5.764 -0.786 4.392
Y 3.160 -4.026 6.590
Sc 4.035 0.816 2.197
Sc 3.160 -0.816 6.590
```

=====

Record 3
Na2In2Ir: simulated X-ray powder pattern (λ = 1.5418 Å (Cu Kα)), based on DFT lattice parameters and positions (GGA-PBE).
Neutral-atom scattering factors, no anomalous dispersion.

Main lines, in order of rising 2θ (10° ≤ 2θ ≤ 90°):
2θ/deg, d (Å), I/Imax
16.73, 5.298, 100
24.61, 3.617, 19
28.51, 3.131, 17
33.24, 2.695, 50
33.84, 2.649, 29
40.76, 2.214, 35
44.35, 2.043, 42
53.98, 1.699, 32

Crystal structure
```
10
Lattice="7.000 0.000 0.000 0.000 7.000 0.000 0.000 0.000 5.298" Properties=species:S:1:pos:R:3 pbc="T T T"
Na 1.245 2.255 0.000
Na 2.255 5.755 0.000
Na 4.746 1.245 0.000
Na 5.755 4.746 0.000
In 1.113 4.613 2.649
In 2.387 1.113 2.649
In 4.613 5.887 2.649
In 5.887 2.387 2.649
Ir 0.000 0.000 2.649
Ir 3.500 3.500 2.649
```

=====

Record 4
AcAl4Rh2: simulated X-ray powder pattern (λ = 1.5418 Å (Cu Kα)), based on DFT lattice parameters and positions (GGA-PBE).
Neutral-atom scattering factors, no anomalous dispersion.

Main lines, in order of rising 2θ (10° ≤ 2θ ≤ 90°):
2θ/deg, d (Å), I/Imax
22.03, 4.034, 29
22.83, 3.895, 100
26.13, 3.411, 86
31.24, 2.863, 88
37.18, 2.418, 40
40.08, 2.250, 76
40.87, 2.208, 27
44.63, 2.030, 33

Crystal structure
```
14
Lattice="8.175 0.000 0.000 0.000 5.512 0.000 -2.064 0.000 6.418" Properties=species:S:1:pos:R:3 pbc="T T T"
Ac 0.000 0.000 0.000
Ac 4.087 2.756 0.000
Al -0.017 1.362 4.040
Al -0.017 4.150 4.040
Al 2.041 1.394 2.379
Al 2.041 4.118 2.379
Al 4.070 1.394 4.040
Al 4.070 4.118 4.040
Al 6.128 1.362 2.379
Al 6.128 4.150 2.379
Rh -0.009 2.756 1.780
Rh 2.033 0.000 4.638
Rh 4.078 0.000 1.780
Rh 6.120 2.756 4.638
```

=====

Record 5
RbTl11Au5: simulated X-ray powder pattern (λ = 1.5418 Å (Cu Kα)), based on DFT lattice parameters and positions (GGA-PBE).
Neutral-atom scattering factors, no anomalous dispersion.

Main lines, in order of rising 2θ (10° ≤ 2θ ≤ 90°):
2θ/deg, d (Å), I/Imax
15.30, 5.792, 27
29.76, 3.002, 60
30.72, 2.910, 70
31.87, 2.808, 100
32.11, 2.788, 39
33.29, 2.691, 40
35.26, 2.546, 32
44.19, 2.050, 32

Crystal structure
```
17
Lattice="5.450 -6.975 0.000 5.450 6.975 0.000 -1.658 0.000 6.651" Properties=species:S:1:pos:R:3 pbc="T T T"
Rb 0.000 0.000 0.000
Tl -0.829 0.000 3.325
Tl 3.310 3.635 4.671
Tl 3.319 1.824 0.938
Tl 5.932 3.635 1.979
Tl 2.734 0.000 3.886
Tl 3.319 -1.824 0.938
Tl 5.924 1.824 5.713
Tl 6.509 0.000 2.765
Tl 3.310 -3.635 4.671
Tl 5.924 -1.824 5.713
Tl 5.932 -3.635 1.979
Au 0.702 2.151 4.780
Au 0.702 -2.151 4.780
Au 5.450 0.000 0.000
Au 8.541 2.151 1.870
Au 8.541 -2.151 1.870
```

=====

Record 6
Tb9Sm2Mg: simulated X-ray powder pattern (λ = 1.5418 Å (Cu Kα)), based on DFT lattice parameters and positions (GGA-PBE).
Neutral-atom scattering factors, no anomalous dispersion.

Main lines, in order of rising 2θ (10° ≤ 2θ ≤ 90°):
2θ/deg, d (Å), I/Imax
30.86, 2.897, 100
35.67, 2.517, 17
35.85, 2.505, 34
51.46, 1.776, 24
51.60, 1.771, 12
61.10, 1.517, 14
61.34, 1.511, 28
64.30, 1.449, 12

Crystal structure
```
12
Lattice="5.010 0.000 0.000 0.000 5.010 0.000 0.000 0.000 15.104" Properties=species:S:1:pos:R:3 pbc="T T T"
Tb 0.000 0.000 0.000
Tb 0.000 0.000 4.966
Tb 0.000 0.000 10.138
Tb 0.000 2.505 2.466
Tb 0.000 2.505 7.552
Tb 0.000 2.505 12.638
Tb 2.505 0.000 2.466
Tb 2.505 0.000 7.552
Tb 2.505 0.000 12.638
Sm 2.505 2.505 4.997
Sm 2.505 2.505 10.107
Mg 2.505 2.505 0.000
```

=====

Record 7
SmZnPdO4: simulated X-ray powder pattern (λ = 1.5418 Å (Cu Kα)), based on DFT lattice parameters and positions (GGA-PBE).
Neutral-atom scattering factors, no anomalous dispersion.

Main lines, in order of rising 2θ (10° ≤ 2θ ≤ 90°):
2θ/deg, d (Å), I/Imax
17.02, 5.210, 47
31.45, 2.845, 100
32.17, 2.782, 54
33.51, 2.674, 33
33.91, 2.644, 39
34.42, 2.605, 42
38.29, 2.351, 46
57.84, 1.594, 60

Crystal structure
```
14
Lattice="-3.258 3.395 4.339 3.258 -3.395 4.339 3.258 3.395 -4.339" Properties=species:S:1:pos:R:3 pbc="T T T"
Sm 0.000 0.000 0.000
Sm 0.000 3.395 0.000
Zn 3.258 1.698 0.936
Zn 0.000 1.698 3.403
Pd 1.629 1.698 -2.169
Pd 1.629 -1.698 2.169
O 3.258 -0.165 2.005
O 1.570 1.698 -0.082
O 1.688 -1.698 4.257
O 3.258 3.230 -2.005
O 0.000 0.165 6.344
O 1.570 5.093 0.082
O 1.688 1.698 4.420
O 0.000 3.561 2.333
```

=====

Record 8
Dy7Tl2Cd2: simulated X-ray powder pattern (λ = 1.5418 Å (Cu Kα)), based on DFT lattice parameters and positions (GGA-PBE).
Neutral-atom scattering factors, no anomalous dispersion.

Main lines, in order of rising 2θ (10° ≤ 2θ ≤ 90°):
2θ/deg, d (Å), I/Imax
25.58, 3.483, 59
26.52, 3.361, 39
27.98, 3.189, 30
31.96, 2.801, 57
32.33, 2.769, 22
35.02, 2.562, 62
36.19, 2.482, 100
44.11, 2.053, 23

Crystal structure
```
11
Lattice="3.879 -5.601 0.000 3.879 5.601 0.000 0.000 0.000 7.908" Properties=species:S:1:pos:R:3 pbc="T T T"
Dy 0.000 0.000 0.000
Dy 1.940 2.801 2.300
Dy 1.940 2.801 5.608
Dy 1.940 -2.801 2.300
Dy 1.940 -2.801 5.608
Dy 3.879 0.000 2.142
Dy 3.879 0.000 5.766
Tl 3.879 2.272 0.000
Tl 3.879 -2.272 0.000
Cd 1.364 0.000 3.954
Cd 6.395 0.000 3.954
```

=====

Record 9
Pm5Sn: simulated X-ray powder pattern (λ = 1.5418 Å (Cu Kα)), based on DFT lattice parameters and positions (GGA-PBE).
Neutral-atom scattering factors, no anomalous dispersion.

Main lines, in order of rising 2θ (10° ≤ 2θ ≤ 90°):
2θ/deg, d (Å), I/Imax
30.82, 2.902, 98
31.13, 2.873, 100
35.04, 2.561, 37
36.35, 2.472, 63
51.38, 1.778, 47
60.44, 1.532, 15
61.80, 1.501, 23
62.36, 1.489, 26

Crystal structure
```
12
Lattice="3.470 -5.121 0.000 3.470 5.121 0.000 0.000 0.000 10.564" Properties=species:S:1:pos:R:3 pbc="T T T"
Pm 1.735 0.000 1.871
Pm 1.735 0.000 5.282
Pm 1.735 0.000 8.694
Pm 3.470 2.561 3.458
Pm 3.470 2.561 10.339
Pm 3.470 -2.561 0.225
Pm 3.470 -2.561 7.106
Pm 5.205 0.000 1.871
Pm 5.205 0.000 5.282
Pm 5.205 0.000 8.694
Sn 3.470 2.561 6.922
Sn 3.470 -2.561 3.643
```

=====

Record 10
Nd5SiSn2: simulated X-ray powder pattern (λ = 1.5418 Å (Cu Kα)), based on DFT lattice parameters and positions (GGA-PBE).
Neutral-atom scattering factors, no anomalous dispersion.

Main lines, in order of rising 2θ (10° ≤ 2θ ≤ 90°):
2θ/deg, d (Å), I/Imax
25.99, 3.428, 25
29.55, 3.023, 100
30.22, 2.957, 78
30.50, 2.931, 77
32.05, 2.792, 64
34.25, 2.618, 25
38.49, 2.339, 45
49.70, 1.835, 39

Crystal structure
```
16
Lattice="8.340 0.000 0.000 0.000 12.638 0.000 0.000 0.000 4.678" Properties=species:S:1:pos:R:3 pbc="T T T"
Nd 0.000 0.000 0.000
Nd 1.226 3.666 0.000
Nd 1.621 7.167 2.339
Nd 2.549 0.848 2.339
Nd 2.944 9.985 0.000
Nd 4.170 6.319 0.000
Nd 5.396 2.654 0.000
Nd 5.791 11.791 2.339
Nd 6.719 5.472 2.339
Nd 7.114 8.973 0.000
Si 0.000 6.319 0.000
Si 4.170 0.000 0.000
Sn 0.646 10.459 2.339
Sn 3.524 4.140 2.339
Sn 4.816 8.498 2.339
Sn 7.694 2.179 2.339
```